1.
This entry pairs a crystal structure of Ca5P3HO13 with its theoretical XRD peak list. Radiation: Cu Kα, 1.54184 Å. Structure: DFT lattice parameters and positions (PBE).
Lines closer than 0.1° are merged.

The 10 most intense peaks (2θ from 15° to 90°), low angle first:
| 2θ (°) | I (rel.) | (hkl) |
| --- | --- | --- |
| 25.75 | 34 | 0 0 2 |
| 31.42 | 100 | 2 1 1 |
| 31.95 | 46 | 1 1 2 |
| 32.49 | 63 | 3 0 0 |
| 33.79 | 24 | 2 0 2 |
| 39.30 | 21 | 1 3 0 |
| 46.21 | 33 | 2 2 2 |
| 49.10 | 35 | 2 1 3 |
| 49.86 | 19 | 2 3 1 |
| 52.93 | 17 | 0 0 4 |

Crystal structure
```
data_Ca5P3HO13
_cell_length_a 9.5453
_cell_length_b 9.5453
_cell_length_c 6.9191
_cell_angle_alpha 90.00
_cell_angle_beta 90.00
_cell_angle_gamma 120.00
_symmetry_space_group_name_H-M 'P 63'
_symmetry_Int_Tables_number 173
_symmetry_space_group_name_Hall 'P 6c'
loop_
_atom_site_label
_atom_site_type_symbol
_atom_site_fract_x
_atom_site_fract_y
_atom_site_fract_z
Ca1 Ca 0.0018 0.2513 0.0000
Ca2 Ca 0.3333 0.6667 0.2482
Ca3 Ca 0.3333 0.6667 0.7507
P1 P 0.0303 0.3987 0.5011
H1 H 0.0000 0.0000 0.1783
O1 O 0.0000 0.0000 0.0370
O2 O 0.0828 0.3378 0.3222
O3 O 0.0884 0.3479 0.6838
O4 O 0.1237 0.5878 0.4959
O5 O 0.1553 0.6700 0.0025
```


2.
This entry pairs a crystal structure of CaP2H4O8 with its theoretical XRD peak list. Radiation: Cu Kα, 1.54184 Å. Structure: DFT lattice parameters and positions (PBE).
Lines closer than 0.1° are merged.

The 10 most intense peaks (2θ from 15° to 90°), low angle first:
| 2θ (°) | I (rel.) | (hkl) |
| --- | --- | --- |
| 24.16 | 100 | 1 1 -2 |
| 24.48 | 72 | 1 0 1 |
| 24.97 | 78 | 0 2 0 |
| 27.05 | 40 | 0 2 -2 |
| 28.40 | 69 | 1 -2 1 |
| 29.94 | 29 | 1 2 -2 |
| 31.22 | 36 | 1 1 1 |
| 34.32 | 24 | 1 -2 2 |
| 34.64 | 40 | 1 0 -3 |
| 42.44 | 32 | 2 2 -1 |

Crystal structure
```
data_CaP2H4O8
_cell_length_a 5.5798
_cell_length_b 7.8104
_cell_length_c 8.3814
_cell_angle_alpha 111.20
_cell_angle_beta 108.54
_cell_angle_gamma 93.67
_symmetry_space_group_name_H-M 'P -1'
_symmetry_Int_Tables_number 2
_symmetry_space_group_name_Hall '-P 1'
loop_
_atom_site_label
_atom_site_type_symbol
_atom_site_fract_x
_atom_site_fract_y
_atom_site_fract_z
Ca1 Ca 0.1915 0.3176 0.4198
P1 P 0.1726 0.7321 0.3132
P2 P 0.4775 0.7446 0.8429
H1 H 0.0000 0.5000 0.0000
H2 H 0.1508 0.1438 0.7808
H3 H 0.2440 0.9824 0.0014
H4 H 0.4051 0.6776 0.0623
H5 H 0.5000 0.0000 0.5000
O1 O 0.0258 0.9029 0.3158
O2 O 0.0443 0.6038 0.3753
O3 O 0.1701 0.6298 0.1153
O4 O 0.2243 0.8147 0.8158
O5 O 0.2864 0.1013 0.1186
O6 O 0.4426 0.2860 0.9700
O7 O 0.4549 0.8313 0.4443
O8 O 0.4852 0.5784 0.6812
```


3.
This entry pairs a crystal structure of CaP2H4O8 with its theoretical XRD peak list. Radiation: Cu Kα, 1.54184 Å. Structure: DFT lattice parameters and positions (PBE).
Lines closer than 0.1° are merged.

The 10 most intense peaks (2θ from 15° to 90°), low angle first:
| 2θ (°) | I (rel.) | (hkl) |
| --- | --- | --- |
| 20.50 | 28 | 1 1 -1 |
| 24.03 | 100 | 1 0 1 |
| 24.28 | 85 | 0 2 0 |
| 24.91 | 72 | 1 1 -2 |
| 28.02 | 83 | 1 -2 1 |
| 30.44 | 34 | 1 1 1 |
| 36.77 | 42 | 1 -3 1 |
| 40.65 | 27 | 0 2 2 |
| 42.33 | 35 | 2 2 -1 |
| 47.08 | 33 | -2 3 1 |

Crystal structure
```
data_CaP2H4O8
_cell_length_a 5.6354
_cell_length_b 7.8877
_cell_length_c 8.1732
_cell_angle_alpha 107.95
_cell_angle_beta 107.18
_cell_angle_gamma 95.90
_symmetry_space_group_name_H-M 'P -1'
_symmetry_Int_Tables_number 2
_symmetry_space_group_name_Hall '-P 1'
loop_
_atom_site_label
_atom_site_type_symbol
_atom_site_fract_x
_atom_site_fract_y
_atom_site_fract_z
Ca1 Ca 0.2003 0.3210 0.4496
P1 P 0.1970 0.7231 0.3116
P2 P 0.4646 0.2628 0.1421
H1 H 0.0000 0.5000 0.0000
H2 H 0.1243 0.1488 0.7597
H3 H 0.1738 0.0155 0.0541
H4 H 0.4042 0.6617 0.0626
H5 H 0.5000 0.0000 0.0000
O1 O 0.0477 0.5891 0.3677
O2 O 0.0547 0.8944 0.3229
O3 O 0.1680 0.6320 0.1028
O4 O 0.1901 0.1475 0.1124
O5 O 0.3578 0.8748 0.8606
O6 O 0.4262 0.3121 0.9658
O7 O 0.4721 0.7996 0.4267
O8 O 0.4834 0.5806 0.6833
```


4.
This entry pairs a crystal structure of CaP2HO8 with its theoretical XRD peak list. Radiation: Cu Kα, 1.54184 Å. Structure: DFT lattice parameters and positions (PBE).
Lines closer than 0.1° are merged.

The 10 most intense peaks (2θ from 15° to 90°), low angle first:
| 2θ (°) | I (rel.) | (hkl) |
| --- | --- | --- |
| 15.62 | 26 | 0 1 0 |
| 17.13 | 16 | 1 0 0 |
| 17.74 | 20 | 0 1 -1 |
| 20.30 | 18 | 0 1 2 |
| 21.62 | 100 | 1 0 2 |
| 23.11 | 56 | 1 0 -2 |
| 24.18 | 19 | 1 1 -2 |
| 28.53 | 21 | 1 0 -3 |
| 28.79 | 16 | 0 0 4 |
| 35.06 | 15 | 2 2 1 |

Crystal structure
```
data_CaP2HO8
_cell_length_a 5.7856
_cell_length_b 6.3512
_cell_length_c 12.5333
_cell_angle_alpha 82.71
_cell_angle_beta 83.35
_cell_angle_gamma 63.70
_symmetry_space_group_name_H-M 'P -1'
_symmetry_Int_Tables_number 2
_symmetry_space_group_name_Hall '-P 1'
loop_
_atom_site_label
_atom_site_type_symbol
_atom_site_fract_x
_atom_site_fract_y
_atom_site_fract_z
Ca1 Ca 0.2253 0.2343 0.0946
P1 P 0.1409 0.6221 0.6335
P2 P 0.2467 0.7241 0.0982
H1 H 0.4299 0.0020 0.7499
O1 O 0.0793 0.9071 0.1797
O2 O 0.0809 0.6629 0.0309
O3 O 0.0818 0.6152 0.7556
O4 O 0.1204 0.2226 0.4161
O5 O 0.2716 0.3712 0.5961
O6 O 0.3275 0.7319 0.5913
O7 O 0.4087 0.4934 0.1669
O8 O 0.4135 0.8274 0.0266
```


5.
This entry pairs a crystal structure of CaPH4O6 with its theoretical XRD peak list. Radiation: Cu Kα, 1.54184 Å. Structure: DFT lattice parameters and positions (PBE).
Lines closer than 0.1° are merged.

The 10 most intense peaks (2θ from 15° to 90°), low angle first:
| 2θ (°) | I (rel.) | (hkl) |
| --- | --- | --- |
| 20.63 | 100 | 0 2 1 |
| 29.21 | 70 | 0 4 1 |
| 30.16 | 57 | 2 2 -1 |
| 32.74 | 48 | 2 2 0 |
| 34.63 | 17 | 2 0 -2 |
| 40.73 | 17 | 1 5 1 |
| 42.37 | 23 | 2 4 -2 |
| 47.71 | 24 | 2 6 0 |
| 48.06 | 13 | 2 4 1 |
| 50.32 | 17 | 0 6 2 |

Crystal structure
```
data_CaPH4O6
_cell_length_a 6.5110
_cell_length_b 15.0432
_cell_length_c 5.8214
_cell_angle_alpha 90.00
_cell_angle_beta 115.58
_cell_angle_gamma 90.00
_symmetry_space_group_name_H-M 'C 1 2/c 1'
_symmetry_Int_Tables_number 15
_symmetry_space_group_name_Hall '-C 2yc'
loop_
_atom_site_label
_atom_site_type_symbol
_atom_site_fract_x
_atom_site_fract_y
_atom_site_fract_z
Ca1 Ca 0.0000 0.1675 0.2500
P1 P 0.0000 0.3288 0.7500
H1 H 0.2358 0.4140 0.2425
H2 H 0.2393 0.4955 0.4181
O1 O 0.0856 0.2683 0.5939
O2 O 0.2037 0.3872 0.9240
O3 O 0.2248 0.0686 0.5798
```


6.
This entry pairs a crystal structure of CaP4H2O12 with its theoretical XRD peak list. Radiation: Cu Kα, 1.54184 Å. Structure: DFT lattice parameters and positions (PBE).
Lines closer than 0.1° are merged.

The 10 most intense peaks (2θ from 15° to 90°), low angle first:
| 2θ (°) | I (rel.) | (hkl) |
| --- | --- | --- |
| 15.43 | 20 | 1 0 0 |
| 18.09 | 91 | 0 2 0 |
| 20.20 | 84 | 1 1 -1 |
| 23.86 | 90 | 1 2 0 |
| 24.77 | 32 | 1 0 -2 |
| 25.70 | 34 | 1 0 2 |
| 26.41 | 38 | 1 1 -2 |
| 27.30 | 100 | 1 1 2 |
| 29.09 | 30 | 0 3 1 |
| 30.85 | 40 | 1 2 -2 |

Crystal structure
```
data_CaP4H2O12
_cell_length_a 5.7478
_cell_length_b 9.8068
_cell_length_c 8.9470
_cell_angle_alpha 90.00
_cell_angle_beta 92.15
_cell_angle_gamma 90.00
_symmetry_space_group_name_H-M 'P 1 21/c 1'
_symmetry_Int_Tables_number 14
_symmetry_space_group_name_Hall '-P 2ybc'
loop_
_atom_site_label
_atom_site_type_symbol
_atom_site_fract_x
_atom_site_fract_y
_atom_site_fract_z
Ca1 Ca 0.0000 0.0000 0.0000
P1 P 0.2850 0.2131 0.2998
P2 P 0.3887 0.7242 0.9421
H1 H 0.1887 0.5493 0.8383
O1 O 0.1370 0.1910 0.8825
O2 O 0.1751 0.6326 0.9040
O3 O 0.1856 0.0862 0.2270
O4 O 0.3291 0.6297 0.4582
O5 O 0.4206 0.1943 0.6793
O6 O 0.4985 0.1565 0.4090
```


7.
This entry pairs a crystal structure of CaSnP6H12O12 with its theoretical XRD peak list. Radiation: Cu Kα, 1.54184 Å. Structure: DFT lattice parameters and positions (PBE).
Lines closer than 0.1° are merged.

The 10 most intense peaks (2θ from 15° to 90°), low angle first:
| 2θ (°) | I (rel.) | (hkl) |
| --- | --- | --- |
| 19.02 | 33 | 0 2 1 |
| 24.03 | 100 | 3 -1 1 |
| 24.47 | 69 | 2 0 2 |
| 28.59 | 89 | 3 -2 2 |
| 31.89 | 37 | 4 -3 1 |
| 35.53 | 61 | 3 1 2 |
| 39.18 | 40 | 1 4 0 |
| 42.52 | 19 | 2 1 4 |
| 47.71 | 18 | 1 3 4 |
| 49.22 | 19 | 4 2 2 |

Crystal structure
```
data_CaSnP6H12O12
_cell_length_a 12.1664
_cell_length_b 12.1664
_cell_length_c 10.0584
_cell_angle_alpha 90.00
_cell_angle_beta 90.00
_cell_angle_gamma 120.00
_symmetry_space_group_name_H-M 'R -3'
_symmetry_Int_Tables_number 148
_symmetry_space_group_name_Hall '-R 3'
loop_
_atom_site_label
_atom_site_type_symbol
_atom_site_fract_x
_atom_site_fract_y
_atom_site_fract_z
Ca1 Ca 0.0000 0.0000 0.0000
Sn1 Sn 0.0000 0.0000 0.5000
P1 P 0.0262 0.2113 0.7197
H1 H 0.0155 0.6412 0.9538
H2 H 0.0512 0.5351 0.3345
O1 O 0.0263 0.1695 0.8608
O2 O 0.0540 0.8940 0.3846
```


8.
This entry pairs a crystal structure of Ca2ZnP2H4O10 with its theoretical XRD peak list. Radiation: Cu Kα, 1.54184 Å. Structure: DFT lattice parameters and positions (PBE).
Lines closer than 0.1° are merged.

The 10 most intense peaks (2θ from 15° to 90°), low angle first:
| 2θ (°) | I (rel.) | (hkl) |
| --- | --- | --- |
| 24.96 | 17 | 1 0 1 |
| 25.11 | 17 | -1 1 1 |
| 27.19 | 33 | 0 1 -2 |
| 27.30 | 20 | 1 1 -1 |
| 29.18 | 100 | 1 1 0 |
| 32.60 | 30 | 1 -1 2 |
| 32.75 | 93 | 1 -2 0 |
| 39.09 | 18 | -1 2 1 |
| 39.75 | 22 | 0 1 -3 |
| 54.11 | 25 | 0 3 0 |

Crystal structure
```
data_Ca2ZnP2H4O10
_cell_length_a 5.5650
_cell_length_b 5.7700
_cell_length_c 6.8695
_cell_angle_alpha 107.39
_cell_angle_beta 97.29
_cell_angle_gamma 108.96
_symmetry_space_group_name_H-M 'P -1'
_symmetry_Int_Tables_number 2
_symmetry_space_group_name_Hall '-P 1'
loop_
_atom_site_label
_atom_site_type_symbol
_atom_site_fract_x
_atom_site_fract_y
_atom_site_fract_z
Ca1 Ca 0.1494 0.2984 0.2612
Zn1 Zn 0.5000 0.0000 0.5000
P1 P 0.1664 0.3393 0.7440
H1 H 0.3581 0.8730 0.1036
H2 H 0.4180 0.8279 0.8124
O1 O 0.0887 0.7372 0.4290
O2 O 0.1331 0.1621 0.8742
O3 O 0.2262 0.6309 0.8850
O4 O 0.3931 0.3399 0.6290
O5 O 0.4293 0.0491 0.2225
```